Calculated powder X-ray diffraction pattern
Compound: Er3MoC3
Radiation: Cu Kα (λ = 1.5418 Å)
Structure: a structure optimized by DFT (GGA-PBE)

Most intense lines, 2θ = 10–90°, most intense first:
2θ (°)	d (Å)	Rel. int.
31.9	2.804	100
35.3	2.543	29
34.4	2.604	21
32.9	2.726	18
61.2	1.514	16
50.1	1.819	14
41.0	2.201	14
31.7	2.824	12
61.8	1.500	12
55.2	1.664	11
54.6	1.681	10
66.2	1.412	9

a b c (Å): 6.818 6.818 5.085
angles (deg): 90.00 90.00 99.59
Sites, in units of the cell vectors:
Er (0.110, 0.890, 0.750)
Er (0.164, 0.398, 0.750)
Er (0.398, 0.164, 0.250)
Er (0.602, 0.836, 0.750)
Er (0.836, 0.602, 0.250)
Er (0.890, 0.110, 0.250)
Mo (0.311, 0.689, 0.250)
Mo (0.689, 0.311, 0.750)
C (0.123, 0.877, 0.250)
C (0.169, 0.410, 0.250)
C (0.410, 0.169, 0.750)
C (0.590, 0.831, 0.250)
C (0.831, 0.590, 0.750)
C (0.877, 0.123, 0.750)